[1]
Diffraction record for Li2DyIn. The powder XRD pattern is theoretical, not measured: it uses a crystal structure in the Materials Project, relaxed with PBE and Cu Kα (weighted mean of Kα1 and Kα2).

Structural model:
abc: 4.8504 4.8504 4.8504
angles: 60.00 60.00 60.00
Fractional positions:
Li  0.2500  0.2500  0.2500
Li  0.7500  0.7500  0.7500
Dy  0.0000  0.0000  0.0000
In  0.5000  0.5000  0.5000

Top 10 peaks for 2θ = 10–80°, low angle first:
Position (°2θ), I (rel.)
22.4, 5
26.0, 100
37.1, 91
43.8, 3
45.8, 29
53.4, 16
58.7, 1
60.3, 38
66.8, 32
79.0, 10

=====

[2]
Diffraction record for LiMg14BiO16. The powder XRD pattern is theoretical, not measured: it uses a crystal structure in the Materials Project, relaxed with PBE and Cu Kα (weighted mean of Kα1 and Kα2).

Structural model:
abc: 8.6775 8.6775 4.3702
angles: 90.00 90.00 90.00
Fractional positions:
Li  0.0000  0.0000  0.0000
Mg  0.0000  0.2412  0.5000
Mg  0.0000  0.5000  0.0000
Mg  0.0000  0.7588  0.5000
Mg  0.2330  0.5000  0.5000
Mg  0.2369  0.2369  0.0000
Mg  0.2369  0.7631  0.0000
Mg  0.2412  0.0000  0.5000
Mg  0.5000  0.0000  0.0000
Mg  0.5000  0.2330  0.5000
Mg  0.5000  0.7670  0.5000
Mg  0.7588  0.0000  0.5000
Mg  0.7631  0.2369  0.0000
Mg  0.7631  0.7631  0.0000
Mg  0.7670  0.5000  0.5000
Bi  0.5000  0.5000  0.0000
O  0.0000  0.0000  0.5000
O  0.0000  0.2562  0.0000
O  0.0000  0.5000  0.5000
O  0.0000  0.7438  0.0000
O  0.2338  0.5000  0.0000
O  0.2522  0.2522  0.5000
O  0.2522  0.7478  0.5000
O  0.2562  0.0000  0.0000
O  0.5000  0.0000  0.5000
O  0.5000  0.2338  0.0000
O  0.5000  0.5000  0.5000
O  0.5000  0.7662  0.0000
O  0.7438  0.0000  0.0000
O  0.7478  0.2522  0.5000
O  0.7478  0.7478  0.5000
O  0.7662  0.5000  0.0000

Top 10 peaks for 2θ = 10–80°, low angle first:
Position (°2θ), I (rel.)
10.2, 100
14.4, 29
22.8, 41
22.9, 41
30.8, 47
35.8, 31
37.3, 27
41.3, 39
41.6, 73
60.1, 44

=====

[3]
Diffraction record for TlCuPSe3. The powder XRD pattern is theoretical, not measured: it uses a crystal structure in the Materials Project, relaxed with PBE and Cu Kα (weighted mean of Kα1 and Kα2).

Structural model:
abc: 7.6669 9.4389 11.4684
angles: 90.00 130.78 90.00
Fractional positions:
Tl  0.2093  0.0253  0.2564
Tl  0.2093  0.4747  0.7564
Tl  0.7907  0.5253  0.2436
Tl  0.7907  0.9747  0.7436
Cu  0.4126  0.1660  0.7325
Cu  0.4126  0.3340  0.2325
Cu  0.5874  0.6660  0.7675
Cu  0.5874  0.8340  0.2675
P  0.4297  0.6014  0.4301
P  0.4297  0.8986  0.9301
P  0.5703  0.1014  0.0699
P  0.5703  0.3986  0.5699
Se  0.1775  0.5269  0.1894
Se  0.1775  0.9731  0.6894
Se  0.2607  0.2185  0.0026
Se  0.2607  0.2815  0.5026
Se  0.2716  0.7241  0.5076
Se  0.2716  0.7759  0.0076
Se  0.7284  0.2241  0.9924
Se  0.7284  0.2759  0.4924
Se  0.7393  0.7185  0.4974
Se  0.7393  0.7815  0.9974
Se  0.8225  0.0269  0.3106
Se  0.8225  0.4731  0.8106

Top 10 peaks for 2θ = 10–80°, low angle first:
Position (°2θ), I (rel.)
25.2, 17
27.3, 20
27.9, 89
30.0, 100
30.8, 41
31.4, 25
38.1, 17
41.6, 28
49.8, 17
50.2, 16

=====

[4]
Diffraction record for HfTe3. The powder XRD pattern is theoretical, not measured: it uses a crystal structure in the Materials Project, relaxed with PBE and Cu Kα (weighted mean of Kα1 and Kα2).

Structural model:
abc: 5.8142 4.0030 10.5651
angles: 90.00 96.62 90.00
Fractional positions:
Hf  0.2168  0.2500  0.3402
Hf  0.7832  0.7500  0.6598
Te  0.0620  0.2500  0.8198
Te  0.2609  0.7500  0.5479
Te  0.4218  0.7500  0.1734
Te  0.5782  0.2500  0.8266
Te  0.7391  0.2500  0.4521
Te  0.9380  0.7500  0.1802

Top 10 peaks for 2θ = 10–80°, low angle first:
Position (°2θ), I (rel.)
28.0, 100
31.1, 15
33.1, 39
33.7, 21
36.2, 17
38.4, 18
38.6, 28
38.8, 17
40.2, 17
45.3, 22